1.
Diffraction record for BaLiMgCd3. The X-ray powder pattern is calculated, not measured: it uses the PBE geometry in Alexandria and Cu Kα (λ = 1.5418 Å).

Main lines, most intense first (5° ≤ 2θ ≤ 70°):
two_theta  d (Å)  Rel. int.
28.97  3.082  100
29.26  3.052  93
37.20  2.417  84
26.67  3.342  47
18.27  4.856  40
37.37  2.407  28
37.03  2.428  27
53.93  1.700  24

Structure:
```
data_BaLiMgCd3
_chemical_formula_sum 'Ba4 Li4 Mg4 Cd12'
_symmetry_space_group_name_H-M 'C m c m'
_symmetry_Int_Tables_number 63
_symmetry_space_group_name_Hall '-C 2c 2'
_cell_length_a 6.876
_cell_length_b 13.874
_cell_length_c 6.798
_cell_angle_alpha 90.00
_cell_angle_beta 90.00
_cell_angle_gamma 90.00
loop_
_atom_site_label
_atom_site_type_symbol
_atom_site_fract_x
_atom_site_fract_y
_atom_site_fract_z
Ba1 Ba 0.000 0.216 0.250
Li1 Li 0.000 0.440 0.250
Mg1 Mg 0.000 0.140 0.750
Cd1 Cd 0.000 0.359 0.750
Cd2 Cd 0.218 0.000 0.000
```

2.
Diffraction record for BaLiCdPb3. The X-ray powder pattern is calculated, not measured: it uses the PBE geometry in Alexandria and Cu Kα (λ = 1.5418 Å).

Main lines, most intense first (5° ≤ 2θ ≤ 70°):
two_theta  d (Å)  Rel. int.
35.16  2.552  100
26.77  3.330  62
28.13  3.172  60
34.00  2.637  35
11.83  7.480  25
34.77  2.580  24
51.25  1.783  24
24.98  3.565  19

Structure:
```
data_BaLiCdPb3
_chemical_formula_sum 'Ba4 Li4 Cd4 Pb12'
_symmetry_space_group_name_H-M 'C m c m'
_symmetry_Int_Tables_number 63
_symmetry_space_group_name_Hall '-C 2c 2'
_cell_length_a 7.437
_cell_length_b 14.959
_cell_length_c 7.006
_cell_angle_alpha 90.00
_cell_angle_beta 90.00
_cell_angle_gamma 90.00
loop_
_atom_site_label
_atom_site_type_symbol
_atom_site_fract_x
_atom_site_fract_y
_atom_site_fract_z
Ba1 Ba 0.000 0.209 0.250
Li1 Li 0.000 0.438 0.250
Cd1 Cd 0.000 0.146 0.750
Pb1 Pb 0.000 0.353 0.750
Pb2 Pb 0.220 0.000 0.000
```

3.
Diffraction record for BaLiCdSn2. The X-ray powder pattern is calculated, not measured: it uses the PBE geometry in Alexandria and Cu Kα (λ = 1.5418 Å).

Main lines, most intense first (5° ≤ 2θ ≤ 70°):
two_theta  d (Å)  Rel. int.
28.57  3.124  100
29.82  2.997  74
36.98  2.431  68
41.32  2.185  51
47.39  1.918  50
25.92  3.438  45
56.64  1.625  41
19.65  4.518  39

Structure:
```
data_BaLiCdSn2
_chemical_formula_sum 'Ba2 Li2 Cd2 Sn4'
_symmetry_space_group_name_H-M 'I -4 m 2'
_symmetry_Int_Tables_number 119
_symmetry_space_group_name_Hall 'I -4 -2'
_cell_length_a 4.862
_cell_length_b 4.862
_cell_length_c 12.231
_cell_angle_alpha 90.00
_cell_angle_beta 90.00
_cell_angle_gamma 90.00
loop_
_atom_site_label
_atom_site_type_symbol
_atom_site_fract_x
_atom_site_fract_y
_atom_site_fract_z
Ba1 Ba 0.000 0.000 0.000
Li1 Li 0.000 0.500 0.250
Cd1 Cd 0.000 0.500 0.750
Sn1 Sn 0.000 0.000 0.382
```

4.
Diffraction record for BaMg2Cd3. The X-ray powder pattern is calculated, not measured: it uses the PBE geometry in Alexandria and Cu Kα (λ = 1.5418 Å).

Main lines, most intense first (5° ≤ 2θ ≤ 70°):
two_theta  d (Å)  Rel. int.
28.90  3.090  100
28.31  3.153  46
39.65  2.273  36
29.29  3.049  19
34.70  2.585  17
50.96  1.792  17
18.72  4.740  17
39.28  2.293  14

Structure:
```
data_BaMg2Cd3
_chemical_formula_sum 'Ba4 Mg8 Cd12'
_symmetry_space_group_name_H-M 'C m c m'
_symmetry_Int_Tables_number 63
_symmetry_space_group_name_Hall '-C 2c 2'
_cell_length_a 11.579
_cell_length_b 9.482
_cell_length_c 6.168
_cell_angle_alpha 90.00
_cell_angle_beta 90.00
_cell_angle_gamma 90.00
loop_
_atom_site_label
_atom_site_type_symbol
_atom_site_fract_x
_atom_site_fract_y
_atom_site_fract_z
Ba1 Ba 0.000 0.180 0.250
Mg1 Mg 0.212 0.500 0.000
Cd1 Cd 0.000 0.434 0.750
Cd2 Cd 0.180 0.220 0.750
```

5.
Diffraction record for BaMg6Cd4. The X-ray powder pattern is calculated, not measured: it uses the PBE geometry in Alexandria and Cu Kα (λ = 1.5418 Å).

Main lines, most intense first (5° ≤ 2θ ≤ 70°):
two_theta  d (Å)  Rel. int.
28.68  3.113  100
22.43  3.963  97
31.37  2.852  92
42.58  2.123  87
33.33  2.688  79
25.04  3.557  60
38.43  2.342  51
37.70  2.386  49

Structure:
```
data_BaMg6Cd4
_chemical_formula_sum 'Ba1 Mg6 Cd4'
_symmetry_space_group_name_H-M 'P -6 m 2'
_symmetry_Int_Tables_number 187
_symmetry_space_group_name_Hall 'P -6 2'
_cell_length_a 8.2134
_cell_length_b 8.2134
_cell_length_c 4.7723
_cell_angle_alpha 90.00
_cell_angle_beta 90.00
_cell_angle_gamma 120.00
loop_
_atom_site_label
_atom_site_type_symbol
_atom_site_fract_x
_atom_site_fract_y
_atom_site_fract_z
Ba1 Ba 0.0000 0.0000 0.0000
Mg1 Mg 0.2060 0.4119 0.5000
Mg2 Mg 0.5348 0.0696 0.0000
Cd1 Cd 0.3333 0.6667 0.0000
Cd2 Cd 0.4103 0.2051 0.5000
```

6.
Diffraction record for Ba2Mg3Cd4. The X-ray powder pattern is calculated, not measured: it uses the PBE geometry in Alexandria and Cu Kα (λ = 1.5418 Å).

Main lines, most intense first (5° ≤ 2θ ≤ 70°):
two_theta  d (Å)  Rel. int.
33.07  2.709  100
28.82  3.098  74
53.85  1.702  25
22.60  3.935  24
34.18  2.623  21
36.95  2.433  21
11.24  7.869  20
49.76  1.833  17

Structure:
```
data_Ba2Mg3Cd4
_chemical_formula_sum 'Ba8 Mg12 Cd16'
_symmetry_space_group_name_H-M 'F m m m'
_symmetry_Int_Tables_number 69
_symmetry_space_group_name_Hall '-F 2 2'
_cell_length_a 6.190
_cell_length_b 11.038
_cell_length_c 15.739
_cell_angle_alpha 90.00
_cell_angle_beta 90.00
_cell_angle_gamma 90.00
loop_
_atom_site_label
_atom_site_type_symbol
_atom_site_fract_x
_atom_site_fract_y
_atom_site_fract_z
Ba1 Ba 0.000 0.000 0.142
Mg1 Mg 0.000 0.000 0.500
Mg2 Mg 0.250 0.250 0.000
Cd1 Cd 0.000 0.174 0.338
```

7.
Diffraction record for Ba2Mg3Cd9. The X-ray powder pattern is calculated, not measured: it uses the PBE geometry in Alexandria and Cu Kα (λ = 1.5418 Å).

Main lines, most intense first (5° ≤ 2θ ≤ 70°):
two_theta  d (Å)  Rel. int.
32.52  2.753  100
34.10  2.629  57
32.22  2.778  39
34.44  2.604  28
34.95  2.567  27
35.19  2.550  22
40.24  2.241  21
60.23  1.536  19

Structure:
```
data_Ba2Mg3Cd9
_chemical_formula_sum 'Ba8 Mg12 Cd36'
_symmetry_space_group_name_H-M 'C m c m'
_symmetry_Int_Tables_number 63
_symmetry_space_group_name_Hall '-C 2c 2'
_cell_length_a 15.403
_cell_length_b 9.182
_cell_length_c 10.468
_cell_angle_alpha 90.00
_cell_angle_beta 90.00
_cell_angle_gamma 90.00
loop_
_atom_site_label
_atom_site_type_symbol
_atom_site_fract_x
_atom_site_fract_y
_atom_site_fract_z
Ba1 Ba 0.159 0.166 0.250
Mg1 Mg 0.000 0.000 0.000
Mg2 Mg 0.184 0.500 0.000
Cd1 Cd 0.000 0.147 0.750
Cd2 Cd 0.000 0.339 0.032
Cd3 Cd 0.098 0.452 0.750
Cd4 Cd 0.161 0.181 0.586
```

8.
Diffraction record for Ba2Mg16Cd. The X-ray powder pattern is calculated, not measured: it uses the PBE geometry in Alexandria and Cu Kα (λ = 1.5418 Å).

Main lines, most intense first (5° ≤ 2θ ≤ 70°):
two_theta  d (Å)  Rel. int.
34.04  2.634  100
16.72  5.302  97
33.81  2.651  91
29.17  3.061  84
24.04  3.702  76
34.69  2.586  63
30.17  2.963  46
48.74  1.868  43

Structure:
```
data_Ba2Mg16Cd
_chemical_formula_sum 'Ba6 Mg48 Cd3'
_symmetry_space_group_name_H-M 'R 3 m'
_symmetry_Int_Tables_number 160
_symmetry_space_group_name_Hall 'R 3 -2"'
_cell_length_a 10.6041
_cell_length_b 10.6041
_cell_length_c 15.5113
_cell_angle_alpha 90.00
_cell_angle_beta 90.00
_cell_angle_gamma 120.00
loop_
_atom_site_label
_atom_site_type_symbol
_atom_site_fract_x
_atom_site_fract_y
_atom_site_fract_z
Ba1 Ba 0.0000 0.0000 0.0000
Ba2 Ba 0.0000 0.0000 0.3251
Mg1 Mg 0.0000 0.0000 0.7557
Mg2 Mg 0.0000 0.2919 0.6626
Mg3 Mg 0.0009 0.5005 0.1626
Mg4 Mg 0.0007 0.5003 0.5101
Mg5 Mg 0.1672 0.3345 0.1491
Cd1 Cd 0.0000 0.0000 0.5615
```